Record 1
# Pm2PrSb3
Theoretical powder XRD pattern, Cu Kα (weighted mean of Kα1 and Kα2). Input: a structure optimized by DFT (GGA-PBE).
Neutral-atom scattering factors, no anomalous dispersion.

Main lines, by intensity (15 to 90 degrees two-theta):
| d [Å] | I_rel |
| --- | --- |
| 3.191 | 100 |
| 2.256 | 77 |
| 1.427 | 35 |
| 1.842 | 27 |
| 1.303 | 26 |
| 1.595 | 13 |
| 1.128 | 8 |
| 3.684 | 2 |
| 1.924 | 1 |

Atomic structure:
```
12
Lattice="3.190 -9.575 0.000 3.190 9.575 0.000 0.000 0.000 6.380" Properties=species:S:1:pos:R:3 pbc="T T T"
Pm 0.000 0.000 0.000
Pm 3.190 6.387 3.190
Pm 3.190 0.000 3.190
Pm 3.190 -6.387 3.190
Pr 3.190 3.196 0.000
Pr 3.190 -3.196 0.000
Sb 0.000 0.000 3.190
Sb 3.190 6.404 0.000
Sb 3.190 3.192 3.190
Sb 3.190 0.000 0.000
Sb 3.190 -3.192 3.190
Sb 3.190 -6.404 0.000
```

=====

Record 2
# Pm3PrSb3
Theoretical powder XRD pattern, Cu Kα (weighted mean of Kα1 and Kα2). Input: a structure optimized by DFT (GGA-PBE).
Neutral-atom scattering factors, no anomalous dispersion.

Main lines, by intensity (15 to 90 degrees two-theta):
| d [Å] | I_rel |
| --- | --- |
| 2.999 | 100 |
| 2.534 | 65 |
| 1.538 | 25 |
| 1.860 | 24 |
| 1.936 | 17 |
| 1.290 | 15 |
| 1.463 | 14 |
| 1.499 | 12 |
| 1.102 | 11 |
| 2.120 | 10 |
| 2.022 | 9 |
| 1.369 | 6 |

Atomic structure:
```
28
Lattice="9.482 0.000 0.000 0.000 9.482 0.000 0.000 0.000 9.482" Properties=species:S:1:pos:R:3 pbc="T T T"
Pm 0.681 4.060 5.422
Pm 1.704 1.704 1.704
Pm 1.710 7.772 3.031
Pm 3.031 1.710 7.772
Pm 3.037 7.778 6.446
Pm 4.060 5.422 0.681
Pm 5.422 0.681 4.060
Pm 6.446 3.037 7.778
Pm 6.451 6.451 6.451
Pm 7.772 3.031 1.710
Pm 7.778 6.446 3.037
Pm 8.801 8.801 8.801
Pr 0.665 5.406 8.818
Pr 4.077 4.077 4.077
Pr 5.406 8.818 0.665
Pr 8.818 0.665 5.406
Sb 0.006 7.090 5.910
Sb 1.169 4.736 2.393
Sb 2.348 8.313 9.477
Sb 2.393 1.169 4.736
Sb 3.572 4.747 7.134
Sb 4.736 2.393 1.169
Sb 4.747 7.134 3.572
Sb 5.910 0.006 7.090
Sb 7.090 5.910 0.006
Sb 7.134 3.572 4.747
Sb 8.313 9.477 2.348
Sb 9.477 2.348 8.313
```